(1)
This entry pairs a crystal structure of Ac2Si12Pt7 with its computed powder XRD pattern. Radiation: a wavelength of 1.5418 Å. Structure: DFT lattice parameters and positions (PBE).
Neutral-atom scattering factors, no anomalous dispersion.

Structural model:
```
Ac2Si12Pt7
1.0
10.0324 0.0000 0.0000
-5.0162 8.6883 0.0000
0.0000 0.0000 4.1725
Ac Si Pt
2 12 7
Direct
0.3333 0.6667 0.2591 Ac
0.6667 0.3333 0.7409 Ac
0.0675 0.4337 0.7357 Si
0.1287 0.2615 0.2682 Si
0.1328 0.8713 0.2682 Si
0.2615 0.1328 0.7318 Si
0.3662 0.9325 0.7357 Si
0.4337 0.3662 0.2643 Si
0.5663 0.6338 0.7357 Si
0.6338 0.0675 0.2643 Si
0.7385 0.8672 0.2682 Si
0.8672 0.1287 0.7318 Si
0.8713 0.7385 0.7318 Si
0.9325 0.5663 0.2643 Si
0.0000 0.0000 0.5000 Pt
0.0895 0.6946 0.7774 Pt
0.3054 0.3948 0.7774 Pt
0.3948 0.0895 0.2226 Pt
0.6052 0.9105 0.7774 Pt
0.6946 0.6052 0.2226 Pt
0.9105 0.3054 0.2226 Pt
```

Peak list (12 most intense, 10 to 90 degrees two-theta, sorted by position)
- 2θ = 27.15°, I = 60
- 2θ = 27.81°, I = 77
- 2θ = 29.69°, I = 76
- 2θ = 30.88°, I = 63
- 2θ = 34.76°, I = 100
- 2θ = 43.37°, I = 37
- 2θ = 47.18°, I = 21
- 2θ = 47.98°, I = 33
- 2θ = 50.76°, I = 59
- 2θ = 51.93°, I = 19
- 2θ = 58.52°, I = 16
- 2θ = 61.64°, I = 18

(2)
This entry pairs a crystal structure of AcSi4Pt6 with its computed powder XRD pattern. Radiation: a wavelength of 1.5418 Å. Structure: DFT lattice parameters and positions (PBE).
Neutral-atom scattering factors, no anomalous dispersion.

Structural model:
```
AcSi4Pt6
1.0
6.3503 0.0000 0.0000
-2.9284 5.6479 0.0000
-2.5226 -2.2047 5.6288
Ac Si Pt
1 4 6
Direct
0.0000 0.0000 0.0000 Ac
0.0283 0.4829 0.8453 Si
0.1944 0.9919 0.5436 Si
0.4574 0.6327 0.4452 Si
0.6703 0.2037 0.1861 Si
0.0353 0.5903 0.2078 Pt
0.1287 0.3223 0.5370 Pt
0.3968 0.8493 0.8338 Pt
0.4641 0.4975 0.0556 Pt
0.5946 0.0731 0.5168 Pt
0.8204 0.5881 0.5110 Pt
```

Peak list (12 most intense, 10 to 90 degrees two-theta, sorted by position)
- 2θ = 20.79°, I = 31
- 2θ = 27.06°, I = 37
- 2θ = 30.06°, I = 24
- 2θ = 30.69°, I = 18
- 2θ = 31.84°, I = 100
- 2θ = 33.24°, I = 20
- 2θ = 34.10°, I = 33
- 2θ = 34.47°, I = 44
- 2θ = 39.82°, I = 29
- 2θ = 41.78°, I = 32
- 2θ = 42.59°, I = 40
- 2θ = 48.48°, I = 24

(3)
This entry pairs a crystal structure of Ac3SiPt with its computed powder XRD pattern. Radiation: a wavelength of 1.5418 Å. Structure: DFT lattice parameters and positions (PBE).
Neutral-atom scattering factors, no anomalous dispersion.

Structural model:
```
Ac3SiPt
1.0
9.0426 0.0000 0.0000
0.0000 6.8700 0.0000
-4.2745 0.0000 10.5190
Ac Si Pt
12 4 4
Direct
0.1454 0.0043 0.2929 Ac
0.1454 0.4957 0.7929 Ac
0.2676 0.0100 0.9939 Ac
0.2676 0.4900 0.4939 Ac
0.3510 0.5234 0.1832 Ac
0.3510 0.9766 0.6832 Ac
0.6490 0.0234 0.3168 Ac
0.6490 0.4766 0.8168 Ac
0.7324 0.5100 0.5061 Ac
0.7324 0.9900 0.0061 Ac
0.8546 0.5043 0.2071 Ac
0.8546 0.9957 0.7071 Ac
0.0025 0.1812 0.5033 Si
0.0025 0.3188 0.0033 Si
0.9975 0.6812 0.9967 Si
0.9975 0.8188 0.4967 Si
0.4620 0.6964 0.9443 Pt
0.4620 0.8036 0.4443 Pt
0.5380 0.1964 0.5557 Pt
0.5380 0.3036 0.0557 Pt
```

Peak list (12 most intense, 10 to 90 degrees two-theta, sorted by position)
- 2θ = 10.56°, I = 38
- 2θ = 25.94°, I = 38
- 2θ = 28.58°, I = 76
- 2θ = 28.83°, I = 100
- 2θ = 29.39°, I = 84
- 2θ = 33.75°, I = 40
- 2θ = 33.99°, I = 49
- 2θ = 39.89°, I = 38
- 2θ = 47.42°, I = 30
- 2θ = 48.17°, I = 24
- 2θ = 49.27°, I = 16
- 2θ = 50.33°, I = 16

(4)
This entry pairs a crystal structure of AcSiPt3 with its computed powder XRD pattern. Radiation: a wavelength of 1.5418 Å. Structure: DFT lattice parameters and positions (PBE).
Neutral-atom scattering factors, no anomalous dispersion.

Structural model:
```
AcSiPt3
1.0
-2.1137 2.1137 5.5071
2.1137 -2.1137 5.5071
2.1137 2.1137 -5.5071
Ac Si Pt
1 1 3
Direct
0.0000 0.0000 0.0000 Ac
0.3632 0.3632 0.0000 Si
0.2534 0.7534 0.5000 Pt
0.5777 0.5777 0.0000 Pt
0.7534 0.2534 0.5000 Pt
```

Peak list (12 most intense, 10 to 90 degrees two-theta, sorted by position)
- 2θ = 32.30°, I = 18
- 2θ = 32.52°, I = 16
- 2θ = 34.13°, I = 100
- 2θ = 42.78°, I = 35
- 2θ = 44.75°, I = 8
- 2θ = 46.49°, I = 14
- 2θ = 54.60°, I = 8
- 2θ = 54.75°, I = 15
- 2θ = 59.05°, I = 8
- 2θ = 62.10°, I = 12
- 2θ = 65.01°, I = 10
- 2θ = 72.80°, I = 23

(5)
This entry pairs a crystal structure of Ac2SmSi3Pt4 with its computed powder XRD pattern. Radiation: a wavelength of 1.5418 Å. Structure: DFT lattice parameters and positions (PBE).
Neutral-atom scattering factors, no anomalous dispersion.

Structural model:
```
Ac2SmSi3Pt4
1.0
4.4049 0.0000 0.0000
0.0000 4.4049 0.0000
0.0000 0.0000 11.0141
Ac Sm Si Pt
2 1 3 4
Direct
0.0000 0.5000 0.2298 Ac
0.5000 0.0000 0.7702 Ac
0.0000 0.0000 0.5000 Sm
0.0000 0.5000 0.8880 Si
0.5000 0.0000 0.1120 Si
0.5000 0.5000 0.5000 Si
0.0000 0.0000 0.0000 Pt
0.0000 0.5000 0.6657 Pt
0.5000 0.0000 0.3343 Pt
0.5000 0.5000 0.0000 Pt
```

Peak list (12 most intense, 10 to 90 degrees two-theta, sorted by position)
- 2θ = 25.90°, I = 22
- 2θ = 31.73°, I = 19
- 2θ = 33.04°, I = 100
- 2θ = 38.56°, I = 16
- 2θ = 40.98°, I = 43
- 2θ = 46.07°, I = 16
- 2θ = 52.73°, I = 9
- 2θ = 53.26°, I = 9
- 2θ = 57.53°, I = 10
- 2θ = 59.34°, I = 15
- 2θ = 63.34°, I = 12
- 2θ = 69.62°, I = 24

(6)
This entry pairs a crystal structure of AcThSi2Pt5 with its computed powder XRD pattern. Radiation: a wavelength of 1.5418 Å. Structure: DFT lattice parameters and positions (PBE).
Neutral-atom scattering factors, no anomalous dispersion.

Structural model:
```
AcThSi2Pt5
1.0
4.3571 0.0000 0.0000
0.0000 4.3571 0.0000
0.0000 0.0000 10.6842
Ac Th Si Pt
1 1 2 5
Direct
0.0000 0.0000 0.0000 Ac
0.0000 0.0000 0.5000 Th
0.5000 0.5000 0.2201 Si
0.5000 0.5000 0.7799 Si
0.0000 0.5000 0.3108 Pt
0.0000 0.5000 0.6892 Pt
0.5000 0.0000 0.3108 Pt
0.5000 0.0000 0.6892 Pt
0.5000 0.5000 0.0000 Pt
```

Peak list (12 most intense, 10 to 90 degrees two-theta, sorted by position)
- 2θ = 25.00°, I = 27
- 2θ = 26.40°, I = 12
- 2θ = 30.19°, I = 22
- 2θ = 33.58°, I = 100
- 2θ = 38.64°, I = 14
- 2θ = 41.45°, I = 43
- 2θ = 44.91°, I = 13
- 2θ = 49.02°, I = 18
- 2θ = 52.09°, I = 19
- 2θ = 60.06°, I = 15
- 2θ = 70.59°, I = 26
- 2θ = 77.99°, I = 18

(7)
This entry pairs a crystal structure of AcZn2SiPt4 with its computed powder XRD pattern. Radiation: a wavelength of 1.5418 Å. Structure: DFT lattice parameters and positions (PBE).
Neutral-atom scattering factors, no anomalous dispersion.

Structural model:
```
AcZn2SiPt4
1.0
2.1720 1.2540 8.9752
-2.1720 1.2540 8.9752
0.0000 -2.5080 8.9752
Ac Zn Si Pt
1 2 1 4
Direct
0.0000 0.0000 0.0000 Ac
0.2424 0.2424 0.2424 Zn
0.7577 0.7577 0.7577 Zn
0.5000 0.5000 0.5000 Si
0.1390 0.1390 0.1390 Pt
0.4099 0.4099 0.4099 Pt
0.5901 0.5901 0.5901 Pt
0.8610 0.8610 0.8610 Pt
```

Peak list (12 most intense, 10 to 90 degrees two-theta, sorted by position)
- 2θ = 24.57°, I = 12
- 2θ = 28.95°, I = 41
- 2θ = 33.31°, I = 83
- 2θ = 35.80°, I = 41
- 2θ = 41.58°, I = 100
- 2θ = 44.14°, I = 26
- 2θ = 54.29°, I = 21
- 2θ = 56.00°, I = 11
- 2θ = 59.21°, I = 14
- 2θ = 67.72°, I = 16
- 2θ = 70.62°, I = 20
- 2θ = 75.87°, I = 17

(8)
This entry pairs a crystal structure of AcZn2SiPt with its computed powder XRD pattern. Radiation: a wavelength of 1.5418 Å. Structure: DFT lattice parameters and positions (PBE).
Neutral-atom scattering factors, no anomalous dispersion.

Structural model:
```
AcZn2SiPt
1.0
-2.2129 2.2196 5.1266
2.2129 -2.2196 5.1266
2.2129 2.2196 -5.1266
Ac Zn Si Pt
1 2 1 1
Direct
0.0000 0.0000 0.0000 Ac
0.6201 0.6201 0.0000 Zn
0.7504 0.2504 0.5000 Zn
0.3715 0.3715 0.0000 Si
0.2628 0.7628 0.5000 Pt
```

Peak list (12 most intense, 10 to 90 degrees two-theta, sorted by position)
- 2θ = 21.85°, I = 44
- 2θ = 33.09°, I = 43
- 2θ = 33.51°, I = 100
- 2θ = 35.01°, I = 13
- 2θ = 40.65°, I = 21
- 2θ = 40.78°, I = 21
- 2θ = 48.95°, I = 15
- 2θ = 53.45°, I = 22
- 2θ = 58.94°, I = 14
- 2θ = 61.84°, I = 15
- 2θ = 65.48°, I = 13
- 2θ = 69.43°, I = 14

(9)
This entry pairs a crystal structure of Ac2Zn4Si3Pt with its computed powder XRD pattern. Radiation: a wavelength of 1.5418 Å. Structure: DFT lattice parameters and positions (PBE).
Neutral-atom scattering factors, no anomalous dispersion.

Structural model:
```
Ac2Zn4Si3Pt
1.0
4.3523 0.0000 0.0000
0.0000 4.3523 0.0000
0.0000 0.0000 10.5661
Ac Zn Si Pt
2 4 3 1
Direct
0.0000 0.5000 0.2475 Ac
0.5000 0.0000 0.7525 Ac
0.0000 0.0000 0.5000 Zn
0.0000 0.5000 0.8705 Zn
0.5000 0.0000 0.1295 Zn
0.5000 0.5000 0.5000 Zn
0.0000 0.0000 0.0000 Si
0.0000 0.5000 0.6329 Si
0.5000 0.0000 0.3671 Si
0.5000 0.5000 0.0000 Pt
```

Peak list (12 most intense, 10 to 90 degrees two-theta, sorted by position)
- 2θ = 22.09°, I = 47
- 2θ = 32.71°, I = 56
- 2θ = 33.70°, I = 100
- 2θ = 41.50°, I = 43
- 2θ = 47.50°, I = 14
- 2θ = 47.85°, I = 22
- 2θ = 53.81°, I = 28
- 2θ = 54.64°, I = 14
- 2θ = 60.13°, I = 14
- 2θ = 60.58°, I = 16
- 2θ = 65.16°, I = 18
- 2θ = 70.74°, I = 24

(10)
This entry pairs a crystal structure of Ac2SmPt with its computed powder XRD pattern. Radiation: a wavelength of 1.5418 Å. Structure: DFT lattice parameters and positions (PBE).
Neutral-atom scattering factors, no anomalous dispersion.

Structural model:
```
Ac2SmPt
1.0
3.5068 -2.0208 0.0000
3.5068 2.0208 0.0000
-2.3373 0.0000 10.2939
Ac Sm Pt
2 1 1
Direct
0.0000 0.0000 0.0000 Ac
0.5563 0.5563 0.6714 Ac
0.1207 0.1207 0.3627 Sm
0.3984 0.3984 0.1962 Pt
```

Peak list (12 most intense, 10 to 90 degrees two-theta, sorted by position)
- 2θ = 26.02°, I = 47
- 2θ = 26.09°, I = 53
- 2θ = 29.31°, I = 60
- 2θ = 32.64°, I = 100
- 2θ = 34.57°, I = 17
- 2θ = 41.21°, I = 22
- 2θ = 44.81°, I = 54
- 2θ = 48.79°, I = 14
- 2θ = 52.52°, I = 23
- 2θ = 56.52°, I = 22
- 2θ = 72.20°, I = 21
- 2θ = 74.83°, I = 13

(11)
This entry pairs a crystal structure of Ac6SmPt4 with its computed powder XRD pattern. Radiation: a wavelength of 1.5418 Å. Structure: DFT lattice parameters and positions (PBE).
Neutral-atom scattering factors, no anomalous dispersion.

Structural model:
```
Ac6SmPt4
1.0
4.7178 -4.2908 0.0000
4.7178 4.2908 0.0000
-4.6491 0.0000 8.8132
Ac Sm Pt
6 1 4
Direct
0.0000 0.0000 0.0000 Ac
0.0734 0.5788 0.6188 Ac
0.1707 0.6508 0.2834 Ac
0.5398 0.5398 0.9968 Ac
0.5788 0.0734 0.6188 Ac
0.6508 0.1707 0.2834 Ac
0.1177 0.1177 0.6962 Sm
0.0027 0.4733 0.9343 Pt
0.1852 0.1852 0.3542 Pt
0.4733 0.0027 0.9343 Pt
0.7044 0.7044 0.3518 Pt
```

Peak list (12 most intense, 10 to 90 degrees two-theta, sorted by position)
- 2θ = 28.11°, I = 70
- 2θ = 29.87°, I = 100
- 2θ = 29.97°, I = 94
- 2θ = 30.43°, I = 88
- 2θ = 34.74°, I = 72
- 2θ = 34.92°, I = 75
- 2θ = 37.09°, I = 54
- 2θ = 38.15°, I = 70
- 2θ = 42.12°, I = 55
- 2θ = 49.76°, I = 24
- 2θ = 52.84°, I = 37
- 2θ = 58.12°, I = 41

(12)
This entry pairs a crystal structure of AcSmPt with its computed powder XRD pattern. Radiation: a wavelength of 1.5418 Å. Structure: DFT lattice parameters and positions (PBE).
Neutral-atom scattering factors, no anomalous dispersion.

Structural model:
```
AcSmPt
1.0
3.5438 -3.5449 0.0000
3.5438 3.5449 0.0000
-0.1417 0.0000 7.3187
Ac Sm Pt
2 2 2
Direct
0.2489 0.2489 0.3836 Ac
0.7511 0.7511 0.6164 Ac
0.2518 0.7482 0.0000 Sm
0.7482 0.2518 0.0000 Sm
0.2423 0.2423 0.7903 Pt
0.7577 0.7577 0.2097 Pt
```

Peak list (12 most intense, 10 to 90 degrees two-theta, sorted by position)
- 2θ = 25.13°, I = 53
- 2θ = 27.76°, I = 19
- 2θ = 27.97°, I = 43
- 2θ = 28.19°, I = 24
- 2θ = 30.04°, I = 52
- 2θ = 30.44°, I = 44
- 2θ = 35.25°, I = 29
- 2θ = 35.83°, I = 100
- 2θ = 40.92°, I = 21
- 2θ = 41.38°, I = 23
- 2θ = 51.58°, I = 36
- 2θ = 86.92°, I = 17

(13)
This entry pairs a crystal structure of Ac5Sm2Pt5 with its computed powder XRD pattern. Radiation: a wavelength of 1.5418 Å. Structure: DFT lattice parameters and positions (PBE).
Neutral-atom scattering factors, no anomalous dispersion.

Structural model:
```
Ac5Sm2Pt5
1.0
7.1706 -2.1241 0.0000
7.1706 2.1241 0.0000
-3.3230 0.0000 12.4107
Ac Sm Pt
5 2 5
Direct
0.0000 0.0000 0.0000 Ac
0.1539 0.1539 0.5502 Ac
0.2420 0.2420 0.8572 Ac
0.7580 0.7580 0.1428 Ac
0.8461 0.8461 0.4498 Ac
0.4587 0.4587 0.7129 Sm
0.5413 0.5413 0.2871 Sm
0.1865 0.1865 0.3129 Pt
0.3862 0.3862 0.0833 Pt
0.5000 0.5000 0.5000 Pt
0.6138 0.6138 0.9167 Pt
0.8135 0.8135 0.6871 Pt
```

Peak list (12 most intense, 10 to 90 degrees two-theta, sorted by position)
- 2θ = 21.56°, I = 34
- 2θ = 27.83°, I = 61
- 2θ = 28.19°, I = 100
- 2θ = 28.31°, I = 57
- 2θ = 28.55°, I = 43
- 2θ = 29.66°, I = 79
- 2θ = 30.69°, I = 50
- 2θ = 32.74°, I = 34
- 2θ = 35.04°, I = 47
- 2θ = 41.11°, I = 54
- 2θ = 42.56°, I = 57
- 2θ = 51.64°, I = 30